(1)
Theoretical powder diffraction line list
Compound: Mg3Si4
Radiation: CuKα
Structure: a structure optimized by DFT (PBE)
Lines closer than 0.1° are merged.

The 8 most intense peaks (15 to 90 degrees two-theta), sorted by position:
| Position (°2θ) | d [Å] | intensity |
| --- | --- | --- |
| 32.22 | 2.778 | 52 |
| 34.67 | 2.587 | 30 |
| 35.61 | 2.521 | 100 |
| 37.13 | 2.422 | 34 |
| 37.55 | 2.395 | 75 |
| 40.38 | 2.234 | 24 |
| 44.31 | 2.044 | 39 |
| 46.53 | 1.952 | 67 |

Atomic structure:
Lattice parameters (Å, degrees): 8.4937 8.4937 8.1010 91.43 91.43 26.56
Positions (direct):
Mg  0.0000  0.0000  0.0000
Mg  0.3514  0.3514  0.5140
Mg  0.5091  0.5091  0.6839
Mg  0.5913  0.5913  0.2686
Mg  0.7066  0.7066  0.6421
Mg  0.7980  0.7980  0.2091
Si  0.0903  0.0903  0.5168
Si  0.1936  0.1936  0.0423
Si  0.2088  0.2088  0.3563
Si  0.3358  0.3358  0.9446
Si  0.4222  0.4222  0.1949
Si  0.6241  0.6241  0.9321
Si  0.8708  0.8708  0.7708
Si  0.9591  0.9591  0.3671

=====

(2)
Theoretical powder diffraction line list
Compound: Mg5Si6
Radiation: CuKα
Structure: a structure optimized by DFT (PBE)
Lines closer than 0.1° are merged.

The 8 most intense peaks (15 to 90 degrees two-theta), sorted by position:
| Position (°2θ) | d [Å] | intensity |
| --- | --- | --- |
| 30.77 | 2.906 | 17 |
| 35.58 | 2.523 | 100 |
| 36.55 | 2.458 | 49 |
| 38.30 | 2.350 | 22 |
| 39.04 | 2.307 | 73 |
| 40.56 | 2.224 | 21 |
| 43.43 | 2.084 | 72 |
| 45.50 | 1.993 | 17 |

Atomic structure:
Lattice parameters (Å, degrees): 12.6572 12.6572 8.1723 106.47 106.47 18.95
Positions (direct):
Mg  0.0000  0.0000  0.0000
Mg  0.9997  0.9997  0.4038
Mg  0.2086  0.2086  0.2159
Mg  0.4967  0.4967  0.7196
Mg  0.6140  0.6140  0.0124
Mg  0.6826  0.6826  0.4778
Mg  0.7387  0.7387  0.9622
Mg  0.8066  0.8066  0.6982
Mg  0.8646  0.8646  0.1603
Mg  0.9084  0.9084  0.6010
Si  0.0678  0.0678  0.7426
Si  0.1061  0.1061  0.2776
Si  0.1671  0.1671  0.8739
Si  0.2301  0.2301  0.6961
Si  0.3158  0.3158  0.9387
Si  0.3287  0.3287  0.4507
Si  0.3957  0.3957  0.8198
Si  0.4207  0.4207  0.3971
Si  0.4487  0.4487  0.1357
Si  0.5498  0.5498  0.2508
Si  0.5849  0.5849  0.5659
Si  0.7801  0.7801  0.3293